[1]
The following is a theoretical powder XRD pattern of BeFe2B. It was derived from the PBE geometry in OQMD, using Cu Kα.

Crystal structure
Unit cell a=5.1166 b=5.1166 c=5.1166 alpha=90.00 beta=90.00 gamma=90.00
Fractional positions:
1 Be 0.0000 0.0000 0.0000
2 Be 0.0000 0.0000 0.5000
3 Be 0.0000 0.5000 0.0000
4 Be 0.5000 0.0000 0.0000
5 Fe 0.2615 0.2615 0.2615
6 Fe 0.2615 0.2615 0.7385
7 Fe 0.2615 0.7385 0.2615
8 Fe 0.2615 0.7385 0.7385
9 Fe 0.7385 0.2615 0.2615
10 Fe 0.7385 0.2615 0.7385
11 Fe 0.7385 0.7385 0.2615
12 Fe 0.7385 0.7385 0.7385
13 B 0.0000 0.5000 0.5000
14 B 0.5000 0.0000 0.5000
15 B 0.5000 0.5000 0.0000
16 B 0.5000 0.5000 0.5000

Most intense lines, 10° ≤ 2θ ≤ 90°, by intensity:
50.45°, rel. 100
35.08°, rel. 97
84.72°, rel. 23
62.92°, rel. 20
74.12°, rel. 14
17.33°, rel. 5

=====

[2]
The following is a theoretical powder XRD pattern of PrSiTc4Ge. It was derived from the PBE geometry in OQMD, using Cu Kα.

Crystal structure
Unit cell a=4.1457 b=7.3907 c=7.3907 alpha=32.71 beta=90.00 gamma=90.00
Fractional positions:
1 Pr 0.0000 0.0000 0.0000
2 Si 0.5000 0.5915 0.5915
3 Tc 0.0000 0.2982 0.2982
4 Tc 0.0000 0.6937 0.6937
5 Tc 0.5000 0.1897 0.1897
6 Tc 0.5000 0.8018 0.8018
7 Ge 0.5000 0.4116 0.4116

Most intense lines, 10° ≤ 2θ ≤ 90°, by intensity:
36.00°, rel. 100
44.40°, rel. 30
43.48°, rel. 27
43.67°, rel. 27
12.48°, rel. 24
63.32°, rel. 17

=====

[3]
The following is a theoretical powder XRD pattern of Lu4Sc2As3N3. It was derived from the PBE geometry in OQMD, using Cu Kα.

Crystal structure
Unit cell a=6.0915 b=6.0915 c=13.1088 alpha=103.42 beta=103.42 gamma=59.98
Fractional positions:
1 Lu 0.0329 0.2014 0.1015
2 Lu 0.1337 0.2994 0.3985
3 Lu 0.2014 0.0329 0.6015
4 Lu 0.2994 0.1337 0.8985
5 Lu 0.7006 0.8663 0.1015
6 Lu 0.7986 0.9671 0.3985
7 Lu 0.8663 0.7006 0.6015
8 Lu 0.9671 0.7986 0.8985
9 Sc 0.3671 0.5325 0.0974
10 Sc 0.4675 0.6329 0.4026
11 Sc 0.5325 0.3671 0.5974
12 Sc 0.6329 0.4675 0.9026
13 As 0.0976 0.9024 0.2500
14 As 0.2643 0.4164 0.7498
15 As 0.4164 0.2643 0.2498
16 As 0.5836 0.7357 0.7502
17 As 0.7357 0.5836 0.2502
18 As 0.9024 0.0976 0.7500
19 N 0.0000 0.5000 0.0000
20 N 0.1714 0.6643 0.5000
21 N 0.3357 0.8286 0.0000
22 N 0.5000 0.0000 0.5000
23 N 0.6643 0.1714 0.0000
24 N 0.8286 0.3357 0.5000

Most intense lines, 10° ≤ 2θ ≤ 90°, by intensity:
36.41°, rel. 100
52.01°, rel. 28
29.33°, rel. 27
65.15°, rel. 18
87.95°, rel. 16
69.68°, rel. 14